Calculated X-ray diffraction stick pattern of Ho7Tm for Cu Kα (weighted mean of Kα1 and Kα2), from a PBE-relaxed structure.

Main lines, by angle (2θ = 10–80°):
d (Å), Position (°2θ), Rel. int.
3.100, 28.8, 24
2.785, 32.1, 24
2.709, 33.1, 100
2.072, 43.7, 16
1.790, 51.0, 20
1.593, 57.9, 20
1.506, 61.6, 23
1.493, 62.2, 16
1.354, 69.4, 4
1.270, 74.7, 3

Cell and atoms:
```
data_Ho7Tm
_chemical_formula_sum 'Ho14 Tm2'
_space_group_name_H-M_alt 'P 1'
_space_group_IT_number 1
_cell_length_a 5.570
_cell_length_b 7.159
_cell_length_c 12.399
_cell_angle_alpha 90.00
_cell_angle_beta 90.00
_cell_angle_gamma 90.00
loop_
_space_group_symop_operation_xyz
'x,y,z'
loop_
_atom_site_label
_atom_site_type_symbol
_atom_site_fract_x
_atom_site_fract_y
_atom_site_fract_z
_atom_site_occupancy
Ho1 Ho 0.000 0.000 0.000 1
Ho2 Ho 0.000 0.000 0.500 1
Ho3 Ho 0.000 0.250 0.250 1
Ho4 Ho 0.000 0.250 0.750 1
Ho5 Ho 0.000 0.500 0.000 1
Ho6 Ho 0.000 0.500 0.500 1
Ho7 Ho 0.000 0.750 0.250 1
Ho8 Ho 0.000 0.750 0.750 1
Ho9 Ho 0.500 0.000 0.333 1
Ho10 Ho 0.500 0.249 0.583 1
Ho11 Ho 0.500 0.251 0.083 1
Ho12 Ho 0.500 0.500 0.833 1
Ho13 Ho 0.500 0.749 0.083 1
Ho14 Ho 0.500 0.751 0.583 1
Tm1 Tm 0.500 0.000 0.833 1
Tm2 Tm 0.500 0.500 0.333 1
```


Calculated X-ray diffraction stick pattern of PrDyZn2In2 for Cu Kα (weighted mean of Kα1 and Kα2), from a PBE-relaxed structure.

Main lines, by angle (2θ = 10–80°):
d (Å), Position (°2θ), Rel. int.
4.071, 21.8, 8
3.578, 24.9, 10
2.758, 32.5, 100
2.351, 38.3, 66
2.130, 42.4, 10
1.875, 48.6, 7
1.789, 51.1, 28
1.466, 63.5, 18
1.424, 65.6, 26
1.357, 69.2, 11

Cell and atoms:
```
data_PrDyZn2In2
_chemical_formula_sum 'Pr1 Dy1 Zn2 In2'
_space_group_name_H-M_alt 'P 1'
_space_group_IT_number 1
_cell_length_a 4.701
_cell_length_b 4.701
_cell_length_c 7.500
_cell_angle_alpha 90.00
_cell_angle_beta 90.00
_cell_angle_gamma 120.00
loop_
_space_group_symop_operation_xyz
'x,y,z'
loop_
_atom_site_label
_atom_site_type_symbol
_atom_site_fract_x
_atom_site_fract_y
_atom_site_fract_z
_atom_site_occupancy
Pr1 Pr 0.000 0.000 0.000 1
Dy1 Dy 0.000 0.000 0.501 1
Zn1 Zn 0.333 0.667 0.690 1
Zn2 Zn 0.667 0.333 0.209 1
In1 In 0.333 0.667 0.284 1
In2 In 0.667 0.333 0.765 1
```


Calculated X-ray diffraction stick pattern of DyHoB4N for Cu Kα (weighted mean of Kα1 and Kα2), from a PBE-relaxed structure.

Main lines, by angle (2θ = 10–80°):
d (Å), Position (°2θ), Rel. int.
3.739, 23.8, 55
3.213, 27.8, 54
2.898, 30.9, 72
2.437, 36.9, 53
2.291, 39.3, 100
1.870, 48.7, 13
1.788, 51.1, 22
1.613, 57.1, 28
1.571, 58.8, 20
1.351, 69.6, 17

Cell and atoms:
```
data_DyHoB4N
_chemical_formula_sum 'Dy2 Ho2 B8 N2'
_space_group_name_H-M_alt 'P 1'
_space_group_IT_number 1
_cell_length_a 3.247
_cell_length_b 6.427
_cell_length_c 7.479
_cell_angle_alpha 90.00
_cell_angle_beta 90.00
_cell_angle_gamma 90.00
loop_
_space_group_symop_operation_xyz
'x,y,z'
loop_
_atom_site_label
_atom_site_type_symbol
_atom_site_fract_x
_atom_site_fract_y
_atom_site_fract_z
_atom_site_occupancy
Dy1 Dy 0.000 0.000 0.000 1
Dy2 Dy 0.500 0.500 0.500 1
Ho1 Ho 0.000 0.000 0.467 1
Ho2 Ho 0.500 0.500 0.967 1
B1 B 0.000 0.272 0.734 1
B2 B 0.000 0.361 0.233 1
B3 B 0.000 0.639 0.233 1
B4 B 0.000 0.728 0.734 1
B5 B 0.500 0.139 0.733 1
B6 B 0.500 0.228 0.234 1
B7 B 0.500 0.772 0.234 1
B8 B 0.500 0.861 0.733 1
N1 N 0.000 0.500 0.735 1
N2 N 0.500 0.000 0.235 1
```


Calculated X-ray diffraction stick pattern of K2NdDy2Mg3Cd for Cu Kα (weighted mean of Kα1 and Kα2), from a PBE-relaxed structure.

Main lines, by angle (2θ = 10–80°):
d (Å), Position (°2θ), Rel. int.
4.869, 18.2, 65
4.132, 21.5, 54
4.096, 21.7, 32
3.151, 28.3, 100
3.135, 28.5, 58
2.873, 31.1, 45
2.435, 36.9, 35
2.371, 38.0, 53
2.132, 42.4, 31
1.699, 54.0, 27

Cell and atoms:
```
data_K2NdDy2Mg3Cd
_chemical_formula_sum 'K2 Nd1 Dy2 Mg3 Cd1'
_space_group_name_H-M_alt 'P 1'
_space_group_IT_number 1
_cell_length_a 4.869
_cell_length_b 8.265
_cell_length_c 8.265
_cell_angle_alpha 120.57
_cell_angle_beta 90.00
_cell_angle_gamma 90.00
loop_
_space_group_symop_operation_xyz
'x,y,z'
loop_
_atom_site_label
_atom_site_type_symbol
_atom_site_fract_x
_atom_site_fract_y
_atom_site_fract_z
_atom_site_occupancy
K1 K 0.000 0.167 0.833 1
K2 K 0.000 0.833 0.167 1
Nd1 Nd 0.500 0.129 0.129 1
Dy1 Dy 0.500 0.497 0.875 1
Dy2 Dy 0.500 0.875 0.497 1
Mg1 Mg 0.000 0.291 0.506 1
Mg2 Mg 0.000 0.506 0.291 1
Mg3 Mg 0.000 0.722 0.722 1
Cd1 Cd 0.500 0.513 0.513 1
```